Diffraction record for Cd2Pb3. The XRD peak list is calculated, not measured: it uses DFT lattice parameters and positions (GGA-PBE) and Cu Kα.
Peak positions follow from Bragg's law for the DFT cell and can differ from measured ones.

Structural model:
```
data_Cd2Pb3
_cell_length_a 3.3232
_cell_length_b 3.3232
_cell_length_c 45.4300
_cell_angle_alpha 90.00
_cell_angle_beta 90.00
_cell_angle_gamma 120.00
_symmetry_space_group_name_H-M 'R -3 m'
_symmetry_Int_Tables_number 166
_symmetry_space_group_name_Hall '-R 3 2"'
loop_
_atom_site_label
_atom_site_type_symbol
_atom_site_fract_x
_atom_site_fract_y
_atom_site_fract_z
Cd1 Cd 0.0000 0.0000 0.1005
Pb1 Pb 0.0000 0.0000 0.2962
Pb2 Pb 0.0000 0.0000 0.5000
```

Principal peaks in the range 15° ≤ 2θ ≤ 90°, in order of falling intensity:
32.64°, I 100.0, hkl 0 1 5
36.97°, I 70.3, hkl 1 0 10
29.49°, I 40.9, hkl 0 0 15
63.90°, I 27.7, hkl 1 1 15
51.24°, I 25.5, hkl 0 1 20
55.29°, I 22.7, hkl 1 1 0
60.23°, I 14.7, hkl 1 0 25
65.70°, I 13.5, hkl 2 0 5
68.38°, I 11.8, hkl 0 2 10
87.07°, I 10.3, hkl 1 1 30

=====

Diffraction record for CdPb. The XRD peak list is calculated, not measured: it uses DFT lattice parameters and positions (GGA-PBE) and Cu Kα.
Peak positions follow from Bragg's law for the DFT cell and can differ from measured ones.

Structural model:
```
data_CdPb
_cell_length_a 3.465
_cell_length_b 5.818
_cell_length_c 5.819
_cell_angle_alpha 102.82
_cell_angle_beta 91.08
_cell_angle_gamma 104.81
_symmetry_space_group_name_H-M 'P -1'
_symmetry_Int_Tables_number 2
loop_
_symmetry_equiv_pos_as_xyz
'x,y,z'
'-x,-y,-z'
loop_
_atom_site_label
_atom_site_type_symbol
_atom_site_fract_x
_atom_site_fract_y
_atom_site_fract_z
Cd1 Cd 0.131 0.271 0.376
Pb1 Pb 0.366 0.762 0.142
```

Principal peaks in the range 15° ≤ 2θ ≤ 90°, in order of falling intensity:
32.20°, I 100.0, hkl 1 0 1
32.04°, I 99.8, hkl 0 1 -2
32.51°, I 93.7, hkl -1 1 1
32.75°, I 91.9, hkl 0 2 0
35.91°, I 74.0, hkl 1 1 -1
37.57°, I 64.7, hkl 1 -2 1
39.14°, I 55.7, hkl 0 1 2
62.29°, I 29.5, hkl 2 1 0
52.90°, I 28.7, hkl 2 -1 0
64.09°, I 27.9, hkl 2 -2 2